TlCoO3: theoretical XRD peak list (CuKα), based on a structure optimized by DFT (GGA+U).
Kinematic intensities with the Lorentz-polarization factor, no thermal factor.

Top 6 peaks for 2θ = 15–90°, in order of rising 2θ:
| two_theta | Rel. int. |
| --- | --- |
| 23.3 | 27 |
| 32.5 | 100 |
| 33.1 | 19 |
| 33.2 | 23 |
| 57.5 | 22 |
| 58.9 | 21 |

Crystal structure
abc: 5.416 7.962 5.394
angles: 90.00 90.00 90.00
Atoms (fractional coordinates):
Tl1 0.044 0.250 0.015
Tl2 0.456 0.750 0.515
Tl3 0.544 0.250 0.485
Tl4 0.956 0.750 0.985
Co1 0.000 0.000 0.500
Co2 0.000 0.500 0.500
Co3 0.500 0.000 0.000
Co4 0.500 0.500 0.000
O1 0.053 0.750 0.392
O2 0.214 0.560 0.812
O3 0.214 0.940 0.812
O4 0.286 0.060 0.312
O5 0.286 0.440 0.312
O6 0.447 0.250 0.892
O7 0.553 0.750 0.108
O8 0.714 0.560 0.688
O9 0.714 0.940 0.688
O10 0.786 0.060 0.188
O11 0.786 0.440 0.188
O12 0.947 0.250 0.608

KSrNdWO6: theoretical XRD peak list (CuKα), based on a structure optimized by DFT (GGA+U).
Kinematic intensities with the Lorentz-polarization factor, no thermal factor.

Top 6 peaks for 2θ = 15–90°, in order of rising 2θ:
| two_theta | Rel. int. |
| --- | --- |
| 20.9 | 34 |
| 29.7 | 100 |
| 42.5 | 29 |
| 47.8 | 15 |
| 52.7 | 42 |
| 61.7 | 18 |

Crystal structure
abc: 8.496 8.512 8.512
angles: 90.00 90.00 90.00
Atoms (fractional coordinates):
K1 0.250 0.250 0.250
K2 0.250 0.750 0.250
K3 0.750 0.250 0.750
K4 0.750 0.750 0.750
Sr1 0.250 0.250 0.750
Sr2 0.250 0.750 0.750
Sr3 0.750 0.250 0.250
Sr4 0.750 0.750 0.250
Nd1 0.000 0.000 0.000
Nd2 0.000 0.500 0.500
Nd3 0.500 0.000 0.500
Nd4 0.500 0.500 0.000
W1 0.000 0.000 0.500
W2 0.000 0.500 0.000
W3 0.500 0.000 0.000
W4 0.500 0.500 0.500
O1 0.023 0.227 0.473
O2 0.023 0.273 0.027
O3 0.038 0.025 0.728
O4 0.038 0.475 0.772
O5 0.227 0.529 0.018
O6 0.227 0.971 0.482
O7 0.273 0.529 0.482
O8 0.273 0.971 0.018
O9 0.462 0.025 0.772
O10 0.462 0.475 0.728
O11 0.477 0.227 0.027
O12 0.477 0.273 0.473
O13 0.523 0.727 0.527
O14 0.523 0.773 0.973
O15 0.538 0.525 0.272
O16 0.538 0.975 0.228
O17 0.727 0.029 0.982
O18 0.727 0.471 0.518
O19 0.773 0.029 0.518
O20 0.773 0.471 0.982
O21 0.962 0.525 0.228
O22 0.962 0.975 0.272
O23 0.977 0.727 0.973
O24 0.977 0.773 0.527

CrP3O9: theoretical XRD peak list (CuKα), based on a structure optimized by DFT (GGA+U).
Kinematic intensities with the Lorentz-polarization factor, no thermal factor.

Top 6 peaks for 2θ = 15–90°, in order of rising 2θ:
| two_theta | Rel. int. |
| --- | --- |
| 16.5 | 12 |
| 22.4 | 100 |
| 25.7 | 46 |
| 28.5 | 15 |
| 31.6 | 15 |
| 32.1 | 14 |

Crystal structure
abc: 7.411 7.411 9.538
angles: 122.05 122.05 52.34
Atoms (fractional coordinates):
Cr1 0.000 0.500 0.000
Cr2 0.500 0.000 0.500
P1 0.048 0.952 0.750
P2 0.292 0.481 0.823
P3 0.481 0.292 0.323
P4 0.519 0.708 0.677
P5 0.708 0.519 0.177
P6 0.952 0.048 0.250
O1 0.035 0.171 0.905
O2 0.137 0.753 0.824
O3 0.146 0.413 0.833
O4 0.171 0.035 0.405
O5 0.247 0.863 0.676
O6 0.329 0.390 0.172
O7 0.390 0.329 0.672
O8 0.413 0.146 0.333
O9 0.500 0.500 0.000
O10 0.500 0.500 0.500
O11 0.587 0.854 0.667
O12 0.610 0.671 0.328
O13 0.671 0.610 0.828
O14 0.753 0.137 0.324
O15 0.829 0.965 0.595
O16 0.854 0.587 0.167
O17 0.863 0.247 0.176
O18 0.965 0.829 0.095

MgCo3BiO8: theoretical XRD peak list (CuKα), based on a structure optimized by DFT (GGA+U).
Kinematic intensities with the Lorentz-polarization factor, no thermal factor.

Top 6 peaks for 2θ = 15–90°, in order of rising 2θ:
| two_theta | Rel. int. |
| --- | --- |
| 17.9 | 59 |
| 18.0 | 100 |
| 18.1 | 49 |
| 35.0 | 33 |
| 40.4 | 34 |
| 41.4 | 31 |

Crystal structure
abc: 5.946 5.949 6.058
angles: 116.32 93.19 117.72
Atoms (fractional coordinates):
Mg1 0.000 0.000 0.000
Co1 0.000 0.000 0.500
Co2 0.500 0.000 0.500
Co3 0.500 0.500 0.500
Bi1 0.500 0.500 0.000
O1 0.233 0.021 0.747
O2 0.262 0.068 0.316
O3 0.267 0.494 0.259
O4 0.277 0.494 0.707
O5 0.723 0.506 0.293
O6 0.733 0.506 0.741
O7 0.738 0.932 0.684
O8 0.767 0.979 0.253

Li9Mn2Co5O16: theoretical XRD peak list (CuKα), based on a structure optimized by DFT (GGA+U).
Kinematic intensities with the Lorentz-polarization factor, no thermal factor.

Top 6 peaks for 2θ = 15–90°, in order of rising 2θ:
| two_theta | Rel. int. |
| --- | --- |
| 18.5 | 100 |
| 35.1 | 16 |
| 36.8 | 24 |
| 42.3 | 30 |
| 44.8 | 50 |
| 63.2 | 15 |

Crystal structure
abc: 5.885 6.443 7.836
angles: 85.85 76.03 76.70
Atoms (fractional coordinates):
Li1 0.000 0.000 0.000
Li2 0.060 0.125 0.631
Li3 0.188 0.367 0.876
Li4 0.313 0.633 0.123
Li5 0.433 0.875 0.368
Li6 0.567 0.125 0.632
Li7 0.687 0.367 0.877
Li8 0.812 0.633 0.124
Li9 0.940 0.875 0.369
Mn1 0.119 0.247 0.245
Mn2 0.881 0.753 0.755
Co1 0.248 0.501 0.498
Co2 0.377 0.753 0.754
Co3 0.500 0.000 0.000
Co4 0.623 0.247 0.246
Co5 0.752 0.499 0.502
O1 0.018 0.548 0.318
O2 0.093 0.695 0.912
O3 0.147 0.798 0.566
O4 0.226 0.955 0.185
O5 0.305 0.037 0.823
O6 0.332 0.208 0.417
O7 0.388 0.300 0.063
O8 0.480 0.458 0.679
O9 0.520 0.542 0.321
O10 0.612 0.700 0.937
O11 0.668 0.792 0.583
O12 0.695 0.963 0.177
O13 0.774 0.045 0.815
O14 0.853 0.202 0.434
O15 0.907 0.305 0.088
O16 0.982 0.452 0.682

CsV3Se2O12: theoretical XRD peak list (CuKα), based on a structure optimized by DFT (GGA+U).
Kinematic intensities with the Lorentz-polarization factor, no thermal factor.

Top 6 peaks for 2θ = 15–90°, in order of rising 2θ:
| two_theta | Rel. int. |
| --- | --- |
| 20.3 | 37 |
| 24.8 | 31 |
| 28.8 | 100 |
| 29.6 | 25 |
| 32.5 | 33 |
| 46.2 | 23 |

Crystal structure
abc: 7.192 7.192 12.291
angles: 90.00 90.00 120.00
Atoms (fractional coordinates):
Cs1 0.333 0.667 0.000
Cs2 0.667 0.333 0.500
V1 0.127 0.333 0.322
V2 0.206 0.873 0.322
V3 0.333 0.206 0.822
V4 0.667 0.794 0.322
V5 0.794 0.127 0.822
V6 0.873 0.667 0.822
Se1 0.000 0.000 0.111
Se2 0.000 0.000 0.611
Se3 0.333 0.667 0.537
Se4 0.667 0.333 0.037
O1 0.084 0.541 0.298
O2 0.122 0.868 0.171
O3 0.123 0.874 0.851
O4 0.126 0.249 0.851
O5 0.132 0.253 0.171
O6 0.201 0.788 0.479
O7 0.212 0.413 0.479
O8 0.249 0.123 0.351
O9 0.253 0.122 0.671
O10 0.413 0.201 0.979
O11 0.457 0.916 0.298
O12 0.459 0.543 0.298
O13 0.541 0.457 0.798
O14 0.543 0.084 0.798
O15 0.587 0.799 0.479
O16 0.747 0.878 0.171
O17 0.751 0.877 0.851
O18 0.788 0.587 0.979
O19 0.799 0.212 0.979
O20 0.868 0.747 0.671
O21 0.874 0.751 0.351
O22 0.877 0.126 0.351
O23 0.878 0.132 0.671
O24 0.916 0.459 0.798

CoSn2O6F6: theoretical XRD peak list (CuKα), based on a structure optimized by DFT (GGA+U).
Kinematic intensities with the Lorentz-polarization factor, no thermal factor.

Top 6 peaks for 2θ = 15–90°, in order of rising 2θ:
| two_theta | Rel. int. |
| --- | --- |
| 17.4 | 40 |
| 18.6 | 100 |
| 19.8 | 26 |
| 22.3 | 52 |
| 24.1 | 61 |
| 28.5 | 37 |

Crystal structure
abc: 5.332 6.285 7.958
angles: 93.85 91.67 92.08
Atoms (fractional coordinates):
Co1 0.000 0.000 0.000
Sn1 0.288 0.589 0.416
Sn2 0.712 0.411 0.584
O1 0.193 0.079 0.813
O2 0.215 0.141 0.134
O3 0.259 0.894 0.858
O4 0.741 0.106 0.142
O5 0.785 0.859 0.866
O6 0.807 0.921 0.187
F1 0.079 0.503 0.648
F2 0.231 0.887 0.474
F3 0.375 0.613 0.183
F4 0.625 0.387 0.817
F5 0.769 0.113 0.526
F6 0.921 0.497 0.352

BaPrMgMn2O6: theoretical XRD peak list (CuKα), based on a structure optimized by DFT (GGA+U).
Kinematic intensities with the Lorentz-polarization factor, no thermal factor.

Top 6 peaks for 2θ = 15–90°, in order of rising 2θ:
| two_theta | Rel. int. |
| --- | --- |
| 27.7 | 28 |
| 32.3 | 58 |
| 33.1 | 100 |
| 40.5 | 27 |
| 46.3 | 37 |
| 58.1 | 39 |

Crystal structure
abc: 3.920 3.920 11.239
angles: 90.00 90.00 90.00
Atoms (fractional coordinates):
Ba1 0.000 0.000 0.000
Pr1 0.000 0.000 0.664
Mg1 0.000 0.000 0.304
Mn1 0.500 0.500 0.210
Mn2 0.500 0.500 0.817
O1 0.000 0.500 0.265
O2 0.000 0.500 0.804
O3 0.500 0.000 0.265
O4 0.500 0.000 0.804
O5 0.500 0.500 0.022
O6 0.500 0.500 0.618

Li3Al2VO6: theoretical XRD peak list (CuKα), based on a structure optimized by DFT (GGA+U).
Kinematic intensities with the Lorentz-polarization factor, no thermal factor.

Top 6 peaks for 2θ = 15–90°, in order of rising 2θ:
| two_theta | Rel. int. |
| --- | --- |
| 16.7 | 36 |
| 30.5 | 100 |
| 30.7 | 48 |
| 43.8 | 63 |
| 54.2 | 37 |
| 54.5 | 66 |

Crystal structure
abc: 7.839 7.906 7.991
angles: 94.91 94.62 96.12
Atoms (fractional coordinates):
Li1 0.078 0.493 0.155
Li2 0.078 0.994 0.655
Li3 0.246 0.169 0.336
Li4 0.247 0.669 0.836
Li5 0.406 0.490 0.333
Li6 0.406 0.990 0.833
Li7 0.594 0.010 0.167
Li8 0.594 0.510 0.667
Li9 0.753 0.331 0.164
Li10 0.754 0.831 0.664
Li11 0.922 0.006 0.345
Li12 0.922 0.507 0.845
Al1 0.089 0.173 0.007
Al2 0.089 0.673 0.507
Al3 0.423 0.337 0.009
Al4 0.423 0.837 0.509
Al5 0.577 0.163 0.491
Al6 0.577 0.663 0.991
Al7 0.911 0.327 0.493
Al8 0.911 0.827 0.993
V1 0.252 0.332 0.665
V2 0.252 0.831 0.164
V3 0.748 0.169 0.836
V4 0.748 0.668 0.335
O1 0.073 0.184 0.503
O2 0.073 0.683 0.003
O3 0.081 0.496 0.644
O4 0.082 0.997 0.144
O5 0.245 0.182 0.846
O6 0.246 0.681 0.347
O7 0.255 0.319 0.149
O8 0.255 0.819 0.649
O9 0.425 0.491 0.851
O10 0.425 0.991 0.351
O11 0.426 0.320 0.508
O12 0.426 0.820 0.008
O13 0.574 0.180 0.992
O14 0.574 0.680 0.492
O15 0.575 0.009 0.649
O16 0.575 0.509 0.149
O17 0.745 0.181 0.351
O18 0.745 0.681 0.851
O19 0.754 0.319 0.653
O20 0.755 0.818 0.154
O21 0.918 0.003 0.856
O22 0.919 0.504 0.356
O23 0.927 0.317 0.997
O24 0.927 0.816 0.497